Diffraction record for Tl2GaAg. The powder diffractogram is simulated, not measured: it uses a crystal structure in Alexandria, relaxed with GGA-PBE and Cu Kα X-rays.
Lines closer than 0.1° are merged.

Structure:
Cell: 4.7229 4.7229 4.3741 Å, 90.00 90.00 90.00°
Sites, in units of the cell vectors:
Tl: 0.0000 0.5000 0.0000
Tl: 0.5000 0.0000 0.0000
Ga: 0.0000 0.0000 0.5000
Ag: 0.5000 0.5000 0.5000

Peak list (10 most intense, 2θ = 15–90°, low angle first)
20.30 deg, 4.374 Å, I 11, hkl 0 0 1; 26.69 deg, 3.340 Å, I 12, hkl 1 1 0; 33.77 deg, 2.654 Å, I 100, hkl 1 1 1; 38.11 deg, 2.361 Å, I 36, hkl 2 0 0; 41.28 deg, 2.187 Å, I 14, hkl 0 0 2; 54.99 deg, 1.670 Å, I 12, hkl 2 2 0; 57.43 deg, 1.605 Å, I 22, hkl 2 0 2; 66.11 deg, 1.413 Å, I 29, hkl 3 1 1; 70.47 deg, 1.336 Å, I 12, hkl 1 1 3; 71.02 deg, 1.327 Å, I 12, hkl 2 2 2